# 1
NaDyH2S2O9: calculated X-ray diffraction stick pattern (Cu Kα (λ = 1.5418 Å)), based on a structure optimized by DFT (PBE).
Peak positions follow from Bragg's law for the DFT cell and can differ from measured ones.

Top 6 peaks for 10° ≤ 2θ ≤ 90°, in order of rising 2θ:
two_theta	I_rel	h k l
15.13	39	1 0 0
16.71	100	1 0 1
26.37	39	1 1 0
30.54	49	2 0 0
32.34	61	1 0 4
50.44	38	1 2 4

Structure:
abc: 6.7598 6.7598 12.5691
angles: 90.00 90.00 120.00
Space group P3_121 (No. 152)
Inequivalent atoms, fractional coordinates:
Na  0.0000  0.4675  0.1667 x3
Dy  0.0000  0.4314  0.6667 x3
H  0.0401  0.0874  0.3806 x6
S  0.0138  0.4524  0.9081 x6
O  0.0000  0.0824  0.6667 x3
O  0.1274  0.3772  0.4945 x6
O  0.1292  0.6185  0.3482 x6
O  0.1323  0.6475  0.8334 x6
O  0.1756  0.4098  0.9693 x6



# 2
NdDyH2O4: calculated X-ray diffraction stick pattern (Cu Kα (λ = 1.5418 Å)), based on a structure optimized by DFT (PBE).
Peak positions follow from Bragg's law for the DFT cell and can differ from measured ones.

Top 6 peaks for 10° ≤ 2θ ≤ 90°, in order of rising 2θ:
two_theta	I_rel	h k l
22.12	45	1 0 -1
28.76	100	0 1 1
30.59	50	1 0 1
32.61	34	1 1 0
32.95	51	1 1 -1
50.79	50	1 1 2

Structure:
abc: 4.3484 3.6904 6.0718
angles: 90.00 109.00 90.00
Space group Pm (No. 6)
Inequivalent atoms, fractional coordinates:
Nd  0.0000  0.0000  0.0000 x1
Dy  0.6703  0.5000  0.3837 x1
H  0.3075  0.5000  0.7426 x1
H  0.3373  0.0000  0.5850 x1
O  0.0847  0.5000  0.7437 x1
O  0.1073  0.5000  0.2527 x1
O  0.5723  0.0000  0.6218 x1
O  0.5767  0.0000  0.1556 x1